No. 1
Theoretical powder X-ray diffraction pattern
Compound: La4DyAg
Radiation: Cu Kα X-rays
Structure: a cell relaxed with GGA-PBE
Neutral-atom scattering factors, no anomalous dispersion.

```
La4DyAg
1.0
3.7669 0.0000 0.0000
0.0000 3.7669 0.0000
0.0000 0.0000 13.8937
La Dy Ag
4 1 1
Direct
0.0000 0.0000 0.1402 La
0.0000 0.0000 0.8598 La
0.5000 0.5000 0.3234 La
0.5000 0.5000 0.6766 La
0.0000 0.0000 0.5000 Dy
0.5000 0.5000 0.0000 Ag
```

Main lines, sorted by position (10 to 90 degrees two-theta):
2θ/deg  I_rel
30.59  100
33.65  43
38.89  10
48.32  15
52.35  16
58.28  32
58.52  6
63.69  9
79.01  6
80.66  7

***

No. 2
Theoretical powder X-ray diffraction pattern
Compound: Pm3SmDy5
Radiation: Cu Kα X-rays
Structure: a cell relaxed with GGA-PBE
Neutral-atom scattering factors, no anomalous dispersion.

```
Pm3SmDy5
1.0
10.1004 -3.0668 0.0000
10.1004 3.0668 0.0000
-6.0505 0.0000 9.8042
Pm Sm Dy
6 2 10
Direct
0.0000 0.0000 0.0000 Pm
0.0000 0.0000 0.5000 Pm
0.0363 0.5993 0.9634 Pm
0.4007 0.9637 0.5366 Pm
0.5993 0.0363 0.4634 Pm
0.9637 0.4007 0.0366 Pm
0.0889 0.9111 0.2500 Sm
0.9111 0.0889 0.7500 Sm
0.0254 0.6177 0.6625 Dy
0.1765 0.5431 0.3568 Dy
0.3823 0.9746 0.8375 Dy
0.4251 0.5749 0.7500 Dy
0.4569 0.8235 0.1432 Dy
0.5431 0.1765 0.8568 Dy
0.5749 0.4251 0.2500 Dy
0.6177 0.0254 0.1625 Dy
0.8235 0.4569 0.6432 Dy
0.9746 0.3823 0.3375 Dy
```

Main lines, sorted by position (10 to 90 degrees two-theta):
2θ/deg  I_rel
28.92  70
29.81  100
30.69  43
30.96  63
31.22  87
32.29  33
33.82  57
35.35  38
35.98  32
52.01  30

***

No. 3
Theoretical powder X-ray diffraction pattern
Compound: LiAcHoIn
Radiation: Cu Kα X-rays
Structure: a cell relaxed with GGA-PBE
Neutral-atom scattering factors, no anomalous dispersion.

```
LiAcHoIn
1.0
0.0000 3.9093 3.9093
3.9093 0.0000 3.9093
3.9093 3.9093 0.0000
Li Ac Ho In
1 1 1 1
Direct
0.0000 0.0000 0.0000 Li
0.2500 0.2500 0.2500 Ac
0.7500 0.7500 0.7500 Ho
0.5000 0.5000 0.5000 In
```

Main lines, sorted by position (10 to 90 degrees two-theta):
2θ/deg  I_rel
19.67  14
22.75  32
32.39  100
38.18  8
39.94  10
46.46  18
52.33  14
57.77  39
67.80  12
77.16  17

***

No. 4
Theoretical powder X-ray diffraction pattern
Compound: Pa3Ga2Cu
Radiation: Cu Kα X-rays
Structure: a cell relaxed with GGA-PBE
Neutral-atom scattering factors, no anomalous dispersion.

```
Pa3Ga2Cu
1.0
4.2659 -5.3522 0.0000
4.2659 5.3522 0.0000
0.0000 0.0000 5.3822
Pa Ga Cu
6 4 2
Direct
0.0616 0.6056 0.2500 Pa
0.0771 0.9229 0.7500 Pa
0.3944 0.9384 0.2500 Pa
0.6056 0.0616 0.7500 Pa
0.9229 0.0771 0.2500 Pa
0.9384 0.3944 0.7500 Pa
0.3232 0.3232 0.0000 Ga
0.3232 0.3232 0.5000 Ga
0.6768 0.6768 0.0000 Ga
0.6768 0.6768 0.5000 Ga
0.3483 0.6517 0.7500 Cu
0.6517 0.3483 0.2500 Cu
```

Main lines, sorted by position (10 to 90 degrees two-theta):
2θ/deg  I_rel
13.27  23
31.87  80
33.29  31
36.71  100
37.40  29
37.53  31
43.19  29
58.61  19
61.75  23
64.56  19

***

No. 5
Theoretical powder X-ray diffraction pattern
Compound: Ta2SnSe4
Radiation: Cu Kα X-rays
Structure: a cell relaxed with GGA-PBE
Neutral-atom scattering factors, no anomalous dispersion.

```
Ta2SnSe4
1.0
6.0198 0.0000 0.0000
0.0000 3.4130 0.0000
-0.8950 0.0000 8.6234
Ta Sn Se
2 1 4
Direct
0.0000 0.0000 0.0000 Ta
0.5000 0.5000 0.0000 Ta
0.0000 0.5000 0.5000 Sn
0.1971 0.5000 0.1968 Se
0.3009 0.0000 0.8017 Se
0.6991 0.0000 0.1983 Se
0.8029 0.5000 0.8032 Se
```

Main lines, sorted by position (10 to 90 degrees two-theta):
2θ/deg  I_rel
10.26  100
32.43  64
34.67  32
37.69  20
38.33  12
42.68  30
53.14  12
53.28  16
53.71  10
65.54  12

***

No. 6
Theoretical powder X-ray diffraction pattern
Compound: Nb4Fe4Si7
Radiation: Cu Kα X-rays
Structure: a cell relaxed with GGA-PBE
Neutral-atom scattering factors, no anomalous dispersion.

```
Nb4Fe4Si7
1.0
-6.2888 6.2888 2.5116
6.2888 -6.2888 2.5116
6.2888 6.2888 -2.5116
Nb Fe Si
8 8 14
Direct
0.0000 0.1922 0.1922 Nb
0.0000 0.8078 0.8078 Nb
0.1922 0.0000 0.1922 Nb
0.3648 0.3648 0.7296 Nb
0.3648 0.6352 0.0000 Nb
0.6352 0.3648 0.0000 Nb
0.6352 0.6352 0.2704 Nb
0.8078 0.0000 0.8078 Nb
0.1005 0.6005 0.2010 Fe
0.1005 0.8995 0.5000 Fe
0.3995 0.6005 0.5000 Fe
0.3995 0.8995 0.7990 Fe
0.6005 0.1005 0.2010 Fe
0.6005 0.3995 0.5000 Fe
0.8995 0.1005 0.5000 Fe
0.8995 0.3995 0.7990 Fe
0.0000 0.4054 0.4054 Si
0.0000 0.5946 0.5946 Si
0.2015 0.5000 0.7015 Si
0.2093 0.2093 0.4187 Si
0.2093 0.7907 0.0000 Si
0.2504 0.2504 0.0000 Si
0.4054 0.0000 0.4054 Si
0.5000 0.2015 0.7015 Si
0.5000 0.7985 0.2985 Si
0.5946 0.0000 0.5946 Si
0.7496 0.7496 0.0000 Si
0.7907 0.2093 0.0000 Si
0.7907 0.7907 0.5813 Si
0.7985 0.5000 0.2985 Si
```

Main lines, sorted by position (10 to 90 degrees two-theta):
2θ/deg  I_rel
27.72  11
28.38  11
31.22  19
34.40  16
40.09  100
40.57  22
42.57  57
43.15  28
67.16  21
67.93  22